[1]
The following is a calculated XRD peak list of SrIn9Cu2. It was derived from a cell relaxed with PBE, using copper Kα.
Intensities are scaled so that the largest is 100.

Structure:
abc: 12.790 12.790 7.439
angles: 90.00 90.00 90.00
Space group I4_1/amd (No. 141, origin choice 2)
Inequivalent atoms, fractional coordinates:
Sr 0.000 0.250 0.375 (multiplicity 4)
In 0.000 0.250 0.875 (multiplicity 4)
In 0.122 0.065 0.675 (multiplicity 32)
Cu 0.000 0.000 0.000 (multiplicity 8)

Main lines, most intense first (2θ = 10–80°):
32.7°, intensity 100.0, (3 1 2)
37.2°, intensity 99.9, (5 0 1)
31.3°, intensity 50.3, (4 2 0)
39.8°, intensity 23.6, (4 2 2)
13.8°, intensity 19.4, (1 0 1)
36.9°, intensity 19.1, (1 0 3)
56.6°, intensity 18.5, (5 5 2)
39.6°, intensity 18.5, (2 1 3)



[2]
The following is a calculated XRD peak list of Li2YMg. It was derived from a cell relaxed with PBE, using copper Kα.
Intensities are scaled so that the largest is 100.

Structure:
abc: 3.586 3.586 7.182
angles: 90.00 90.00 90.00
Space group P4/mmm (No. 123)
Inequivalent atoms, fractional coordinates:
Li 0.000 0.000 0.216 (multiplicity 2)
Y 0.500 0.500 0.500 (multiplicity 1)
Mg 0.500 0.500 0.000 (multiplicity 1)

Main lines, most intense first (2θ = 10–80°):
35.4°, intensity 100.0, (1 1 0)
24.8°, intensity 92.0, (0 0 2)
12.3°, intensity 52.1, (0 0 1)
27.8°, intensity 36.2, (1 0 1)
57.4°, intensity 34.3, (1 0 4)
63.5°, intensity 33.9, (2 1 2)
43.7°, intensity 26.2, (1 1 2)
37.6°, intensity 18.3, (0 0 3)



[3]
The following is a calculated XRD peak list of Rb4InCl7. It was derived from a cell relaxed with PBE, using copper Kα.
Intensities are scaled so that the largest is 100.

Structure:
abc: 16.634 5.298 10.872
angles: 90.00 105.85 90.00
Space group C2/m (No. 12)
Inequivalent atoms, fractional coordinates:
Rb 0.015 0.000 0.206 (multiplicity 4)
Rb 0.248 0.000 0.811 (multiplicity 4)
In 0.000 0.500 0.500 (multiplicity 2)
Cl 0.000 0.000 0.500 (multiplicity 2)
Cl 0.108 0.500 0.713 (multiplicity 4)
Cl 0.111 0.500 0.381 (multiplicity 4)
Cl 0.149 0.000 0.041 (multiplicity 4)

Main lines, most intense first (2θ = 10–80°):
20.2°, intensity 100.0, (1 1 1)
31.9°, intensity 65.9, (3 1 2)
29.0°, intensity 60.7, (4 0 -3)
23.5°, intensity 59.3, (3 1 -1)
33.8°, intensity 58.5, (0 2 0)
12.0°, intensity 48.3, (2 0 -1)
11.1°, intensity 42.2, (2 0 0)
15.7°, intensity 41.6, (2 0 1)



[4]
The following is a calculated XRD peak list of Nd3Cu3Rh. It was derived from a cell relaxed with PBE, using copper Kα.
Intensities are scaled so that the largest is 100.

Structure:
abc: 4.645 10.133 12.703
angles: 90.00 90.00 90.00
Space group Cmcm (No. 63)
Inequivalent atoms, fractional coordinates:
Nd 0.000 0.025 0.250 (multiplicity 4)
Nd 0.000 0.263 0.599 (multiplicity 8)
Cu 0.000 0.315 0.250 (multiplicity 4)
Cu 0.000 0.444 0.088 (multiplicity 8)
Rh 0.000 0.000 0.000 (multiplicity 4)

Main lines, most intense first (2θ = 10–80°):
35.4°, intensity 100.0, (0 4 0)
29.9°, intensity 92.2, (1 1 3)
38.8°, intensity 64.9, (2 0 0)
39.2°, intensity 53.8, (1 3 3)
33.6°, intensity 49.7, (1 3 1)
33.3°, intensity 45.5, (0 2 4)
32.8°, intensity 34.0, (1 3 0)
41.5°, intensity 27.7, (0 4 3)



[5]
The following is a calculated XRD peak list of Ta4FeTe4. It was derived from a cell relaxed with PBE, using copper Kα.
Intensities are scaled so that the largest is 100.

Structure:
abc: 10.975 19.287 4.859
angles: 90.00 90.00 90.00
Space group Pbam (No. 55)
Inequivalent atoms, fractional coordinates:
Ta 0.064 0.113 0.000 (multiplicity 4)
Ta 0.096 0.894 0.500 (multiplicity 4)
Ta 0.186 0.054 0.500 (multiplicity 4)
Ta 0.200 0.964 0.000 (multiplicity 4)
Fe 0.000 0.000 0.250 (multiplicity 4)
Te 0.111 0.196 0.500 (multiplicity 4)
Te 0.155 0.437 0.500 (multiplicity 4)
Te 0.165 0.817 0.000 (multiplicity 4)
Te 0.177 0.594 0.000 (multiplicity 4)

Main lines, most intense first (2θ = 10–80°):
40.3°, intensity 100.0, (4 3 1)
34.4°, intensity 92.1, (1 6 1)
37.0°, intensity 80.7, (0 0 2)
41.1°, intensity 74.4, (2 7 1)
37.9°, intensity 44.7, (4 1 1)
32.0°, intensity 43.4, (3 2 1)
35.9°, intensity 41.4, (3 4 1)
33.9°, intensity 39.4, (2 5 1)



[6]
The following is a calculated XRD peak list of Ca6ZnGa3. It was derived from a cell relaxed with PBE, using copper Kα.
Intensities are scaled so that the largest is 100.

Structure:
abc: 9.225 5.249 12.058
angles: 90.00 111.16 90.00
Space group P2_1/m (No. 11)
Inequivalent atoms, fractional coordinates:
Ca 0.021 0.250 0.411 (multiplicity 2)
Ca 0.166 0.750 0.169 (multiplicity 2)
Ca 0.250 0.250 0.999 (multiplicity 2)
Ca 0.338 0.750 0.824 (multiplicity 2)
Ca 0.369 0.250 0.640 (multiplicity 2)
Ca 0.379 0.250 0.361 (multiplicity 2)
Zn 0.457 0.750 0.093 (multiplicity 2)
Ga 0.029 0.750 0.873 (multiplicity 2)
Ga 0.086 0.250 0.722 (multiplicity 2)
Ga 0.256 0.750 0.469 (multiplicity 2)

Main lines, most intense first (2θ = 10–80°):
33.9°, intensity 100.0, (1 1 3)
34.2°, intensity 47.7, (0 2 0)
61.0°, intensity 19.7, (1 3 3)
31.1°, intensity 19.4, (2 0 -4)
35.6°, intensity 18.9, (2 1 -4)
46.9°, intensity 11.7, (2 2 -4)
22.9°, intensity 9.2, (1 1 -2)
29.2°, intensity 8.9, (3 0 -1)